Starting from a PBE+U-relaxed structure, the powder diffraction line list of Fe10O11F9 was calculated for Cu Kα (λ = 1.5418 Å).
Peak positions follow from Bragg's law for the DFT cell and can differ from measured ones.

Most intense lines, 2θ from 15° to 90°, by angle:
| h k l | 2θ (°) | intensity |
| --- | --- | --- |
| 1 1 0 | 26.36 | 100 |
| 1 -1 0 | 26.91 | 97 |
| 0 1 5 | 34.71 | 55 |
| 0 1 -5 | 34.85 | 51 |
| 1 -1 5 | 39.99 | 18 |
| 1 2 5 | 52.02 | 30 |
| 1 2 -5 | 52.31 | 27 |
| -1 2 5 | 52.75 | 42 |
| 0 0 10 | 60.15 | 18 |
| 0 3 5 | 66.50 | 19 |

Structure:
```
data_Fe10O11F9
_chemical_formula_sum 'Fe10 O11 F9'
_cell_length_a 4.7277
_cell_length_b 4.7388
_cell_length_c 15.3836
_cell_angle_alpha 89.85
_cell_angle_beta 89.67
_cell_angle_gamma 88.84
_space_group_name_H-M_alt 'P 1'
_space_group_IT_number 1
loop_
_space_group_symop_operation_xyz
'x,y,z'
loop_
_atom_site_label
_atom_site_type_symbol
_atom_site_fract_x
_atom_site_fract_y
_atom_site_fract_z
_atom_site_occupancy
Fe1 Fe 0.0000 0.0000 0.0000 1
Fe2 Fe 0.0030 0.0010 0.7980 1
Fe3 Fe 0.4166 0.5048 0.8985 1
Fe4 Fe 0.4291 0.4792 0.6958 1
Fe5 Fe 0.4318 0.4848 0.1013 1
Fe6 Fe 0.4398 0.4699 0.3056 1
Fe7 Fe 0.5018 0.5315 0.4930 1
Fe8 Fe 0.9310 0.0386 0.5978 1
Fe9 Fe 0.9408 0.0511 0.2004 1
Fe10 Fe 0.9658 0.9998 0.3991 1
O1 O 0.1396 0.1879 0.3027 1
O2 O 0.1415 0.1978 0.1007 1
O3 O 0.1438 0.1925 0.6955 1
O4 O 0.1574 0.1872 0.8990 1
O5 O 0.2672 0.6845 0.7954 1
O6 O 0.2679 0.6867 0.0018 1
O7 O 0.2675 0.7038 0.3992 1
O8 O 0.6280 0.3177 0.2009 1
O9 O 0.6452 0.3332 0.5970 1
O10 O 0.6676 0.3033 0.3991 1
O11 O 0.7838 0.8290 0.4968 1
F1 F 0.1633 0.2154 0.4999 1
F2 F 0.2388 0.7037 0.2013 1
F3 F 0.2579 0.7169 0.5963 1
F4 F 0.6558 0.2930 0.7987 1
F5 F 0.6558 0.2942 0.9987 1
F6 F 0.7528 0.8057 0.2968 1
F7 F 0.7541 0.8074 0.1006 1
F8 F 0.7550 0.8098 0.6979 1
F9 F 0.7651 0.7954 0.8987 1
```